[1]
The following is a theoretical powder XRD pattern of Cu2TePt. It was derived from DFT lattice parameters and positions (PBE), using Cu Ka.
Neutral-atom scattering factors, no anomalous dispersion.

Principal peaks in the range 2θ from 10° to 90°, by angle:
2theta	I/Imax	h k l
22.0	32	0 0 2
24.9	13	1 1 1
38.7	100	0 2 2
39.1	97	2 0 2
44.8	33	0 0 4
45.5	63	2 2 0
51.1	14	2 2 2
65.8	51	2 2 4
79.3	24	2 4 2
80.0	23	4 2 2

a = 5.6043 Å, b = 5.6778 Å, c = 8.0938 Å
α = 90.00°, β = 90.00°, γ = 90.00°
Space group Fmmm (No. 69)
One atom of each set of equivalent atoms:
Cu  0.2500  0.2500  0.2500 [8 per cell]
Te  0.0000  0.0000  0.0000 [4 per cell]
Pt  0.0000  0.0000  0.5000 [4 per cell]


[2]
The following is a theoretical powder XRD pattern of Th2Cu5Pt12. It was derived from DFT lattice parameters and positions (PBE), using Cu Ka.
Neutral-atom scattering factors, no anomalous dispersion.

Principal peaks in the range 2θ from 10° to 90°, by angle:
2theta	I/Imax	h k l
34.2	28	3 0 0
35.3	31	0 2 4
39.7	28	2 2 0
39.9	100	3 0 3
40.6	33	0 0 6
44.8	39	2 2 3
65.0	18	3 3 3
72.0	17	6 0 0
73.5	17	3 0 9
86.1	15	6 0 6

a = 9.0899 Å, b = 9.0899 Å, c = 13.3217 Å
α = 90.00°, β = 90.00°, γ = 120.00°
Space group R-3m (No. 166, hexagonal axes)
One atom of each set of equivalent atoms:
Th  0.0000  0.0000  0.1610 [6 per cell]
Cu  0.0000  0.0000  0.4066 [6 per cell]
Cu  0.0000  0.5000  0.0000 [9 per cell]
Pt  0.0000  0.3028  0.5000 [18 per cell]
Pt  0.0120  0.5060  0.3467 [18 per cell]


[3]
The following is a theoretical powder XRD pattern of Th2Cu3Pt. It was derived from DFT lattice parameters and positions (PBE), using Cu Ka.
Neutral-atom scattering factors, no anomalous dispersion.

Principal peaks in the range 2θ from 10° to 90°, by angle:
2theta	I/Imax	h k l
23.5	20	0 1 1
33.9	48	1 0 2
34.1	100	1 1 1
41.1	48	0 1 3
41.5	24	0 2 0
49.8	14	2 0 0
54.2	14	1 0 4
54.6	25	1 2 2
66.4	23	2 1 3
70.4	13	1 2 4

a = 3.6646 Å, b = 4.3544 Å, c = 7.6384 Å
α = 90.00°, β = 90.00°, γ = 90.00°
Space group Pmm2 (No. 25)
One atom of each set of equivalent atoms:
Th  0.0000  0.0000  0.0000 [1 per cell]
Th  0.0000  0.5000  0.4867 [1 per cell]
Cu  0.5000  0.0000  0.6730 [1 per cell]
Cu  0.5000  0.5000  0.1459 [1 per cell]
Cu  0.5000  0.5000  0.8252 [1 per cell]
Pt  0.5000  0.0000  0.3324 [1 per cell]


[4]
The following is a theoretical powder XRD pattern of ThCu6Pt4. It was derived from DFT lattice parameters and positions (PBE), using Cu Ka.
Neutral-atom scattering factors, no anomalous dispersion.

Principal peaks in the range 2θ from 10° to 90°, by angle:
2theta	I/Imax	h k l
27.7	62	1 1 2
28.9	30	2 0 0
33.8	32	2 1 1
34.6	100	2 0 2
41.4	65	2 2 0
43.3	69	1 1 4
48.3	25	2 0 4
50.5	48	3 1 2
61.4	30	3 1 4
71.1	27	4 2 2

a = 6.1711 Å, b = 6.1711 Å, c = 9.5301 Å
α = 90.00°, β = 90.00°, γ = 90.00°
Space group I-42m (No. 121)
One atom of each set of equivalent atoms:
Th  0.0000  0.0000  0.0000 [2 per cell]
Cu  0.0000  0.5000  0.0000 [4 per cell]
Cu  0.1500  0.1500  0.4121 [8 per cell]
Pt  0.2346  0.2346  0.6765 [8 per cell]


[5]
The following is a theoretical powder XRD pattern of TmThCuPt. It was derived from DFT lattice parameters and positions (PBE), using Cu Ka.
Neutral-atom scattering factors, no anomalous dispersion.

Principal peaks in the range 2θ from 10° to 90°, by angle:
2theta	I/Imax	h k l
32.0	100	1 1 1
33.9	28	0 0 4
34.7	32	0 1 3
39.5	23	1 0 4
39.9	31	2 0 0
40.2	59	1 1 3
48.0	18	0 2 0
53.3	16	2 0 4
53.9	19	2 1 3
64.2	16	2 2 0

a = 4.5140 Å, b = 3.7910 Å, c = 10.5897 Å
α = 90.00°, β = 90.00°, γ = 90.00°
Space group Amm2 (No. 38)
One atom of each set of equivalent atoms:
Tm  0.0000  0.0000  0.0000 [2 per cell]
Th  0.5000  0.0000  0.2792 [2 per cell]
Cu  0.0000  0.0000  0.7194 [2 per cell]
Pt  0.5000  0.0000  0.5585 [2 per cell]


[6]
The following is a theoretical powder XRD pattern of Ti2Cu2Pt. It was derived from DFT lattice parameters and positions (PBE), using Cu Ka.
Neutral-atom scattering factors, no anomalous dispersion.

Principal peaks in the range 2θ from 10° to 90°, by angle:
2theta	I/Imax	h k l
24.3	42	1 1 0
26.8	29	0 2 0
29.4	34	1 1 1
31.6	61	0 2 1
33.1	21	0 0 2
41.0	38	2 0 0
41.5	100	1 1 2
49.0	55	1 3 1
52.7	29	2 2 1
84.1	23	2 0 4

a = 4.3987 Å, b = 6.6436 Å, c = 5.4092 Å
α = 90.00°, β = 90.00°, γ = 90.00°
Space group Cmmm (No. 65)
One atom of each set of equivalent atoms:
Ti  0.0000  0.0000  0.2449 [4 per cell]
Cu  0.0000  0.3273  0.0000 [4 per cell]
Pt  0.0000  0.5000  0.5000 [2 per cell]


[7]
The following is a theoretical powder XRD pattern of Ti2CuPt4. It was derived from DFT lattice parameters and positions (PBE), using Cu Ka.
Neutral-atom scattering factors, no anomalous dispersion.

Principal peaks in the range 2θ from 10° to 90°, by angle:
2theta	I/Imax	h k l
15.4	54	1 0 -1
27.1	30	0 0 2
36.6	22	1 0 2
37.8	100	1 2 0
40.7	33	1 1 2
41.1	33	1 1 -3
42.3	37	3 0 -1
42.6	23	3 0 -2
43.2	26	2 1 -3
44.7	43	2 2 -1

a = 6.4738 Å, b = 5.2063 Å, c = 7.2820 Å
α = 90.00°, β = 115.37°, γ = 90.00°
Space group P2_1/m (No. 11)
One atom of each set of equivalent atoms:
Ti  0.1550  0.2500  0.0646 [2 per cell]
Ti  0.3022  0.2500  0.5206 [2 per cell]
Cu  0.2541  0.7500  0.2884 [2 per cell]
Pt  0.0904  0.5049  0.7343 [4 per cell]
Pt  0.4423  0.7500  0.6769 [2 per cell]
Pt  0.4661  0.7500  0.0726 [2 per cell]


[8]
The following is a theoretical powder XRD pattern of Ti3CuPt4. It was derived from DFT lattice parameters and positions (PBE), using Cu Ka.
Neutral-atom scattering factors, no anomalous dispersion.

Principal peaks in the range 2θ from 10° to 90°, by angle:
2theta	I/Imax	h k l
21.0	18	1 0 1
27.0	52	2 0 1
32.2	24	0 2 0
38.7	22	1 2 1
38.9	21	1 0 2
39.5	42	4 0 0
42.5	100	2 2 1
42.7	19	2 0 2
73.7	22	6 2 1
81.3	15	4 2 3

a = 9.1293 Å, b = 5.5679 Å, c = 4.7820 Å
α = 90.00°, β = 90.00°, γ = 90.00°
Space group Pmma (No. 51)
One atom of each set of equivalent atoms:
Ti  0.0000  0.0000  0.0000 [2 per cell]
Ti  0.2500  0.0000  0.3834 [2 per cell]
Ti  0.2500  0.5000  0.3536 [2 per cell]
Cu  0.0000  0.5000  0.0000 [2 per cell]
Pt  0.0000  0.2519  0.5000 [4 per cell]
Pt  0.2500  0.2517  0.8738 [4 per cell]